This entry pairs a crystal structure of MgAgMo2O8 with its simulated powder XRD pattern. Radiation: λ = 1.5418 Å (Cu Kα). Structure: a structure optimized by DFT (GGA+U).
No peak broadening, texture or thermal motion is included.

Cell and atoms:
a = 6.963 Å, b = 6.963 Å, c = 6.851 Å
α = 90.00°, β = 90.00°, γ = 90.00°
Space group I-4m2 (No. 119)
Asymmetric unit:
1 Mg 0.000 0.000 0.000 [2 per cell]
2 Ag 0.000 0.500 0.750 [2 per cell]
3 Mo 0.000 0.000 0.500 [2 per cell]
4 Mo 0.000 0.500 0.250 [2 per cell]
5 O 0.000 0.200 0.665 [8 per cell]
6 O 0.000 0.287 0.100 [8 per cell]

Peak list (10 most intense, 15 to 90 degrees two-theta, by angle)
Position (°2θ)	I/Imax	index
18.2	20.9	1 0 1
25.6	100.0	2 0 0
31.6	17.5	2 1 1
31.8	96.9	1 1 2
36.5	16.0	2 2 0
49.2	64.0	3 1 2
52.6	19.1	4 0 0
60.2	15.5	2 0 4
62.8	16.8	3 3 2
66.5	16.3	2 2 4